Structure and computed powder diffraction line list of NpFeCu2O8 (a GGA+U-relaxed structure; CuKα).
Lines closer than 0.1° are merged.

Principal peaks in the range 10° ≤ 2θ ≤ 90°, sorted by position:
2θ (°)	intensity	h k l
18.91	71	1 0 1
19.59	33	1 1 0
27.84	100	2 0 0
32.65	100	1 1 2
33.87	22	2 1 1
39.78	21	2 2 0
52.38	71	3 1 2
61.09	26	2 0 4

a = 6.4092 Å, b = 6.4092 Å, c = 6.8895 Å
α = 90.00°, β = 90.00°, γ = 90.00°
Space group I-4m2 (No. 119)
Inequivalent atoms, fractional coordinates:
Np 0.0000 0.0000 0.0000 [2 per cell]
Fe 0.0000 0.5000 0.7500 [2 per cell]
Cu 0.0000 0.0000 0.5000 [2 per cell]
Cu 0.0000 0.5000 0.2500 [2 per cell]
O 0.0000 0.1916 0.7035 [8 per cell]
O 0.0000 0.3058 0.0445 [8 per cell]